# 1
For SrReOs, a cell relaxed with PBE gives the calculated powder X-ray diffraction pattern in this record (Cu Kα (weighted mean of Kα1 and Kα2)).
Neutral-atom scattering factors, no anomalous dispersion.

Structural model:
a b c (Å): 6.4029 6.4029 6.4029
angles (deg): 90.00 90.00 90.00
Space group F-43m (No. 216)
Unique sites:
Sr (0.0000, 0.0000, 0.0000) (multiplicity 4)
Re (0.0000, 0.0000, 0.5000) (multiplicity 4)
Os (0.2500, 0.2500, 0.7500) (multiplicity 4)

Principal peaks in the range 2θ from 10° to 90°, by intensity:
two_theta	I (rel.)	(hkl)
39.82	100	2 2 0
24.07	51	1 1 1
72.29	35	4 2 2
47.07	26	3 1 1
57.58	17	4 0 0
85.86	11	4 4 0
63.31	11	3 3 1
77.46	8	5 1 1
27.87	5	2 0 0
65.16	2	4 2 0

=====

# 2
For Sr2Re2Os3, a cell relaxed with PBE gives the calculated powder X-ray diffraction pattern in this record (Cu Kα (weighted mean of Kα1 and Kα2)).
Neutral-atom scattering factors, no anomalous dispersion.

Structural model:
a b c (Å): 4.6638 4.6638 21.6680
angles (deg): 90.00 90.00 120.00
Space group R3m (No. 160, hexagonal axes)
Unique sites:
Sr (0.0000, 0.0000, 0.0000) (multiplicity 3)
Sr (0.0000, 0.0000, 0.4797) (multiplicity 3)
Re (0.0000, 0.0000, 0.2403) (multiplicity 3)
Re (0.0000, 0.0000, 0.7404) (multiplicity 3)
Os (0.0000, 0.0000, 0.3545) (multiplicity 3)
Os (0.0000, 0.0000, 0.6094) (multiplicity 3)
Os (0.0000, 0.0000, 0.8583) (multiplicity 3)

Principal peaks in the range 2θ from 10° to 90°, by intensity:
two_theta	I (rel.)	(hkl)
38.61	100	1 1 0
40.08	83	0 1 8
70.86	31	1 2 8
56.87	30	2 0 8
23.51	24	0 1 2
69.86	18	3 0 0
12.25	13	0 0 3
73.79	11	1 0 16
82.78	11	2 2 0
22.39	10	1 0 1